This entry pairs a crystal structure of NpBeCoO6 with its theoretical XRD peak list. Radiation: λ = 1.5418 Å (Cu Kα). Structure: a GGA+U-relaxed structure.
Peak positions follow from Bragg's law for the DFT cell and can differ from measured ones.

Atomic structure:
```
data_NpBeCoO6
_chemical_formula_sum 'Np2 Be2 Co2 O12'
_cell_length_a 4.593
_cell_length_b 4.593
_cell_length_c 8.732
_cell_angle_alpha 90.00
_cell_angle_beta 90.00
_cell_angle_gamma 90.00
_symmetry_space_group_name_H-M 'P 42 n m'
_symmetry_Int_Tables_number 102
_symmetry_space_group_name_Hall 'P 4n -2n'
loop_
_atom_site_label
_atom_site_type_symbol
_atom_site_fract_x
_atom_site_fract_y
_atom_site_fract_z
Np1 Np 0.000 0.000 0.000
Be1 Be 0.000 0.000 0.655
Co1 Co 0.000 0.000 0.337
O1 O 0.179 0.179 0.507
O2 O 0.198 0.198 0.825
O3 O 0.200 0.200 0.174
```

The 6 most intense peaks (2θ = 10–90°), low angle first:
21.86 deg, intensity 100, (1 0 1)
27.46 deg, intensity 76, (1 1 0)
34.42 deg, intensity 37, (1 1 2)
36.55 deg, intensity 51, (1 0 3)
45.36 deg, intensity 34, (2 1 1)
54.69 deg, intensity 47, (2 1 3)

---

This entry pairs a crystal structure of BeCoRh2O6 with its theoretical XRD peak list. Radiation: λ = 1.5418 Å (Cu Kα). Structure: a GGA+U-relaxed structure.
Peak positions follow from Bragg's law for the DFT cell and can differ from measured ones.

Atomic structure:
```
data_BeCoRh2O6
_chemical_formula_sum 'Be1 Co1 Rh2 O6'
_cell_length_a 5.015
_cell_length_b 5.015
_cell_length_c 4.234
_cell_angle_alpha 90.00
_cell_angle_beta 90.00
_cell_angle_gamma 90.00
_symmetry_space_group_name_H-M 'P 4 m m'
_symmetry_Int_Tables_number 99
_symmetry_space_group_name_Hall 'P 4 -2'
loop_
_atom_site_label
_atom_site_type_symbol
_atom_site_fract_x
_atom_site_fract_y
_atom_site_fract_z
Be1 Be 0.000 0.000 0.000
Co1 Co 0.500 0.500 0.072
Rh1 Rh 0.000 0.500 0.389
O1 O 0.000 0.000 0.639
O2 O 0.241 0.241 0.154
O3 O 0.500 0.500 0.646
```

The 6 most intense peaks (2θ = 10–90°), low angle first:
20.98 deg, intensity 60, (0 0 1)
32.95 deg, intensity 100, (1 1 1)
35.81 deg, intensity 41, (2 0 0)
50.19 deg, intensity 41, (1 1 2)
51.54 deg, intensity 31, (2 2 0)
62.54 deg, intensity 30, (3 1 1)

---

This entry pairs a crystal structure of Sm2BeCoO6 with its theoretical XRD peak list. Radiation: λ = 1.5418 Å (Cu Kα). Structure: a GGA+U-relaxed structure.
Peak positions follow from Bragg's law for the DFT cell and can differ from measured ones.

Atomic structure:
```
data_Sm2BeCoO6
_chemical_formula_sum 'Sm4 Be2 Co2 O12'
_cell_length_a 5.289
_cell_length_b 5.253
_cell_length_c 9.069
_cell_angle_alpha 90.00
_cell_angle_beta 125.57
_cell_angle_gamma 90.00
_symmetry_space_group_name_H-M 'P 1 21/c 1'
_symmetry_Int_Tables_number 14
_symmetry_space_group_name_Hall '-P 2ybc'
loop_
_atom_site_label
_atom_site_type_symbol
_atom_site_fract_x
_atom_site_fract_y
_atom_site_fract_z
Sm1 Sm 0.243 0.031 0.249
Be1 Be 0.000 0.000 0.500
Co1 Co 0.500 0.000 0.000
O1 O 0.188 0.227 0.964
O2 O 0.241 0.724 0.966
O3 O 0.313 0.005 0.748
```

The 6 most intense peaks (2θ = 10–90°), low angle first:
23.87 deg, intensity 35, (1 1 -1)
24.13 deg, intensity 18, (0 0 2)
33.90 deg, intensity 20, (2 0 -2)
34.19 deg, intensity 100, (1 1 -3)
42.04 deg, intensity 20, (2 0 0)
48.87 deg, intensity 24, (2 2 -2)